[1]
# ScPaP2N6
Calculated powder XRD pattern, Cu Kα X-rays. Input: a PBE-relaxed structure.

Peak list (6 most intense, 10° ≤ 2θ ≤ 90°, by angle)
(hkl)	2θ/deg	Rel. int.
1 1 0	13.1	94
2 0 0	18.2	52
0 2 1	25.5	35
2 2 -1	27.7	100
3 1 0	29.1	36
2 2 1	35.0	34

Cell and atoms:
```
data_ScPaP2N6
_chemical_formula_sum 'Sc4 Pa4 P8 N24'
_cell_length_a 10.419
_cell_length_b 9.390
_cell_length_c 5.591
_cell_angle_alpha 90.00
_cell_angle_beta 110.91
_cell_angle_gamma 90.00
_symmetry_space_group_name_H-M 'C 1 2/c 1'
_symmetry_Int_Tables_number 15
loop_
_symmetry_equiv_pos_as_xyz
'x,y,z'
'-x,-y,-z'
'-x,y,-z+1/2'
'x,-y,z+1/2'
'x+1/2,y+1/2,z'
'-x+1/2,-y+1/2,-z'
'-x+1/2,y+1/2,-z+1/2'
'x+1/2,-y+1/2,z+1/2'
loop_
_atom_site_label
_atom_site_type_symbol
_atom_site_fract_x
_atom_site_fract_y
_atom_site_fract_z
Sc1 Sc 0.000 0.195 0.250
Pa1 Pa 0.000 0.385 0.750
P1 P 0.209 0.080 0.698
N1 N 0.119 0.225 0.655
N2 N 0.123 0.399 0.172
N3 N 0.160 0.027 0.391
```



[2]
# PaSnPN
Calculated powder XRD pattern, Cu Kα X-rays. Input: a PBE-relaxed structure.

Peak list (6 most intense, 10° ≤ 2θ ≤ 90°, by angle)
(hkl)	2θ/deg	Rel. int.
1 0 4	28.1	57
0 0 12	28.8	39
0 1 5	29.0	63
1 0 7	31.3	100
1 1 0	46.5	56
1 1 12	55.6	40

Cell and atoms:
```
data_PaSnPN
_chemical_formula_sum 'Pa6 Sn6 P6 N6'
_cell_length_a 3.9076
_cell_length_b 3.9076
_cell_length_c 37.2589
_cell_angle_alpha 90.00
_cell_angle_beta 90.00
_cell_angle_gamma 120.00
_symmetry_space_group_name_H-M 'R -3 m'
_symmetry_Int_Tables_number 166
_symmetry_space_group_name_Hall '-R 3 2"'
loop_
_atom_site_label
_atom_site_type_symbol
_atom_site_fract_x
_atom_site_fract_y
_atom_site_fract_z
Pa1 Pa 0.0000 0.0000 0.1287
Sn1 Sn 0.0000 0.0000 0.2981
P1 P 0.0000 0.0000 0.4117
N1 N 0.0000 0.0000 0.1891
```



[3]
# PaTl2P2N6
Calculated powder XRD pattern, Cu Kα X-rays. Input: a PBE-relaxed structure.

Peak list (6 most intense, 10° ≤ 2θ ≤ 90°, by angle)
(hkl)	2θ/deg	Rel. int.
1 0 1	17.9	46
1 0 4	25.3	30
0 1 5	28.8	100
1 1 0	30.3	78
2 0 5	42.3	30
1 2 5	52.9	35

Cell and atoms:
```
data_PaTl2P2N6
_chemical_formula_sum 'Pa3 Tl6 P6 N18'
_cell_length_a 5.9001
_cell_length_b 5.9001
_cell_length_c 19.4859
_cell_angle_alpha 90.00
_cell_angle_beta 90.00
_cell_angle_gamma 120.00
_symmetry_space_group_name_H-M 'R -3 m'
_symmetry_Int_Tables_number 166
_symmetry_space_group_name_Hall '-R 3 2"'
loop_
_atom_site_label
_atom_site_type_symbol
_atom_site_fract_x
_atom_site_fract_y
_atom_site_fract_z
Pa1 Pa 0.0000 0.0000 0.0000
Tl1 Tl 0.0000 0.0000 0.2065
P1 P 0.0000 0.0000 0.4007
N1 N 0.0246 0.5123 0.2645
```



[4]
# Tb2P2PbN6
Calculated powder XRD pattern, Cu Kα X-rays. Input: a PBE-relaxed structure.

Peak list (6 most intense, 10° ≤ 2θ ≤ 90°, by angle)
(hkl)	2θ/deg	Rel. int.
1 -1 0	18.3	100
1 1 -1	26.3	67
1 0 -2	28.6	57
1 0 1	30.4	61
0 2 -1	31.9	40
2 0 -1	32.5	34

Cell and atoms:
```
data_Tb2P2PbN6
_chemical_formula_sum 'Tb2 P2 Pb1 N6'
_cell_length_a 5.898
_cell_length_b 6.032
_cell_length_c 6.397
_cell_angle_alpha 101.40
_cell_angle_beta 112.78
_cell_angle_gamma 110.75
_symmetry_space_group_name_H-M 'P -1'
_symmetry_Int_Tables_number 2
loop_
_symmetry_equiv_pos_as_xyz
'x,y,z'
'-x,-y,-z'
loop_
_atom_site_label
_atom_site_type_symbol
_atom_site_fract_x
_atom_site_fract_y
_atom_site_fract_z
Tb1 Tb 0.125 0.204 0.326
P1 P 0.205 0.753 0.265
Pb1 Pb 0.500 0.500 0.000
N1 N 0.008 0.771 0.375
N2 N 0.200 0.881 0.071
N3 N 0.395 0.625 0.357
```



[5]
# Zr2P2PbN6
Calculated powder XRD pattern, Cu Kα X-rays. Input: a PBE-relaxed structure.

Peak list (6 most intense, 10° ≤ 2θ ≤ 90°, by angle)
(hkl)	2θ/deg	Rel. int.
1 -1 0	18.0	100
0 1 1	28.4	53
1 1 -1	29.1	55
1 0 1	32.9	79
2 0 -1	34.4	42
-1 2 1	34.8	76

Cell and atoms:
```
data_Zr2P2PbN6
_chemical_formula_sum 'Zr2 P2 Pb1 N6'
_cell_length_a 5.988
_cell_length_b 5.999
_cell_length_c 6.292
_cell_angle_alpha 91.97
_cell_angle_beta 117.66
_cell_angle_gamma 118.42
_symmetry_space_group_name_H-M 'P -1'
_symmetry_Int_Tables_number 2
loop_
_symmetry_equiv_pos_as_xyz
'x,y,z'
'-x,-y,-z'
loop_
_atom_site_label
_atom_site_type_symbol
_atom_site_fract_x
_atom_site_fract_y
_atom_site_fract_z
Zr1 Zr 0.146 0.178 0.324
P1 P 0.396 0.815 0.211
Pb1 Pb 0.500 0.500 0.000
N1 N 0.180 0.921 0.102
N2 N 0.240 0.988 0.644
N3 N 0.343 0.595 0.356
```



[6]
# P2PdSN
Calculated powder XRD pattern, Cu Kα X-rays. Input: a PBE-relaxed structure.

Peak list (6 most intense, 10° ≤ 2θ ≤ 90°, by angle)
(hkl)	2θ/deg	Rel. int.
1 0 1	30.7	40
1 1 1	38.1	100
0 0 2	43.0	22
2 0 0	44.9	39
2 0 2	63.9	26
3 1 1	78.3	24

Cell and atoms:
```
data_P2PdSN
_chemical_formula_sum 'P2 Pd1 S1 N1'
_cell_length_a 4.038
_cell_length_b 4.038
_cell_length_c 4.204
_cell_angle_alpha 90.00
_cell_angle_beta 90.00
_cell_angle_gamma 90.00
_symmetry_space_group_name_H-M 'P 4/m m m'
_symmetry_Int_Tables_number 123
_symmetry_space_group_name_Hall '-P 4 2'
loop_
_atom_site_label
_atom_site_type_symbol
_atom_site_fract_x
_atom_site_fract_y
_atom_site_fract_z
P1 P 0.000 0.500 0.000
Pd1 Pd 0.000 0.000 0.500
S1 S 0.500 0.500 0.500
N1 N 0.500 0.500 0.000
```



What did the second record say?
# PaSnPN
Calculated powder XRD pattern, Cu Kα X-rays. Input: a PBE-relaxed structure.

Peak list (6 most intense, 10° ≤ 2θ ≤ 90°, by angle)
(hkl)	2θ/deg	Rel. int.
1 0 4	28.1	57
0 0 12	28.8	39
0 1 5	29.0	63
1 0 7	31.3	100
1 1 0	46.5	56
1 1 12	55.6	40

Cell and atoms:
```
data_PaSnPN
_chemical_formula_sum 'Pa6 Sn6 P6 N6'
_cell_length_a 3.9076
_cell_length_b 3.9076
_cell_length_c 37.2589
_cell_angle_alpha 90.00
_cell_angle_beta 90.00
_cell_angle_gamma 120.00
_symmetry_space_group_name_H-M 'R -3 m'
_symmetry_Int_Tables_number 166
_symmetry_space_group_name_Hall '-R 3 2"'
loop_
_atom_site_label
_atom_site_type_symbol
_atom_site_fract_x
_atom_site_fract_y
_atom_site_fract_z
Pa1 Pa 0.0000 0.0000 0.1287
Sn1 Sn 0.0000 0.0000 0.2981
P1 P 0.0000 0.0000 0.4117
N1 N 0.0000 0.0000 0.1891
```